1.
For SrCaDyBiO6, a GGA-PBE-relaxed structure gives the calculated X-ray diffraction stick pattern in this record (Cu Kα (weighted mean of Kα1 and Kα2)).

Cell: 5.945 5.945 5.932 Å, 119.45 119.45 60.91°
Fractional positions:
Sr  0.000  0.000  0.000
Ca  0.499  0.499  0.445
Dy  0.249  0.249  0.728
Bi  0.749  0.749  0.228
O  0.071  0.560  0.063
O  0.445  0.919  0.413
O  0.509  0.509  0.859
O  0.560  0.071  0.063
O  0.919  0.445  0.413
O  0.991  0.991  0.577

Most intense lines, 10 to 80 degrees two-theta, by angle:
21.04 deg, I 74.9
29.65 deg, I 35.6
29.84 deg, I 71.6
30.09 deg, I 100.0
42.78 deg, I 37.8
53.08 deg, I 27.0

---

2.
For Li10Cu4S9, a GGA-PBE-relaxed structure gives the calculated X-ray diffraction stick pattern in this record (Cu Kα (weighted mean of Kα1 and Kα2)).

Cell: 11.592 11.592 5.659 Å, 90.00 90.00 90.00°
Fractional positions:
Li  0.065  0.101  0.035
Li  0.065  0.399  0.035
Li  0.101  0.065  0.535
Li  0.101  0.435  0.535
Li  0.250  0.250  0.076
Li  0.250  0.250  0.576
Li  0.399  0.065  0.535
Li  0.399  0.435  0.535
Li  0.435  0.101  0.035
Li  0.435  0.399  0.035
Li  0.565  0.601  0.965
Li  0.565  0.899  0.965
Li  0.601  0.565  0.465
Li  0.601  0.935  0.465
Li  0.750  0.750  0.424
Li  0.750  0.750  0.924
Li  0.899  0.565  0.465
Li  0.899  0.935  0.465
Li  0.935  0.601  0.965
Li  0.935  0.899  0.965
Cu  0.096  0.750  0.494
Cu  0.250  0.596  0.006
Cu  0.250  0.904  0.006
Cu  0.404  0.750  0.494
Cu  0.596  0.250  0.506
Cu  0.750  0.096  0.994
Cu  0.750  0.404  0.994
Cu  0.904  0.250  0.506
S  0.083  0.250  0.326
S  0.090  0.590  0.250
S  0.090  0.910  0.250
S  0.250  0.083  0.826
S  0.250  0.417  0.826
S  0.250  0.750  0.750
S  0.410  0.590  0.250
S  0.410  0.910  0.250
S  0.417  0.250  0.326
S  0.583  0.750  0.674
S  0.590  0.090  0.750
S  0.590  0.410  0.750
S  0.750  0.250  0.250
S  0.750  0.583  0.174
S  0.750  0.917  0.174
S  0.910  0.090  0.750
S  0.910  0.410  0.750
S  0.917  0.750  0.674

Most intense lines, 10 to 80 degrees two-theta, by angle:
10.79 deg, I 88.0
21.95 deg, I 100.0
27.96 deg, I 88.5
29.02 deg, I 55.1
34.78 deg, I 53.1
46.19 deg, I 74.0

---

3.
For K2Se, a GGA-PBE-relaxed structure gives the calculated X-ray diffraction stick pattern in this record (Cu Kα (weighted mean of Kα1 and Kα2)).

Cell: 7.757 7.757 7.757 Å, 90.00 90.00 90.00°
Fractional positions:
K  0.250  0.250  0.250
K  0.250  0.250  0.750
K  0.250  0.750  0.250
K  0.250  0.750  0.750
K  0.750  0.250  0.250
K  0.750  0.250  0.750
K  0.750  0.750  0.250
K  0.750  0.750  0.750
Se  0.000  0.000  0.000
Se  0.000  0.500  0.500
Se  0.500  0.000  0.500
Se  0.500  0.500  0.000

Most intense lines, 10 to 80 degrees two-theta, by angle:
19.82 deg, I 57.9
32.65 deg, I 100.0
38.49 deg, I 30.8
46.85 deg, I 16.9
58.27 deg, I 33.7
77.88 deg, I 13.8

---

4.
For Cs, a GGA-PBE-relaxed structure gives the calculated X-ray diffraction stick pattern in this record (Cu Kα (weighted mean of Kα1 and Kα2)).

Cell: 10.367 8.238 5.444 Å, 90.00 90.00 90.00°
Fractional positions:
Cs  0.132  0.250  0.161
Cs  0.368  0.750  0.661
Cs  0.632  0.250  0.339
Cs  0.868  0.750  0.839

Most intense lines, 10 to 80 degrees two-theta, by angle:
19.55 deg, I 78.5
20.24 deg, I 100.0
21.36 deg, I 27.2
21.58 deg, I 43.3
23.70 deg, I 49.0
32.26 deg, I 44.2

---

5.
For Pm2TlZn, a GGA-PBE-relaxed structure gives the calculated X-ray diffraction stick pattern in this record (Cu Kα (weighted mean of Kα1 and Kα2)).

Cell: 7.586 7.586 7.586 Å, 90.00 90.00 90.00°
Fractional positions:
Pm  0.250  0.250  0.250
Pm  0.250  0.250  0.750
Pm  0.250  0.750  0.250
Pm  0.250  0.750  0.750
Pm  0.750  0.250  0.250
Pm  0.750  0.250  0.750
Pm  0.750  0.750  0.250
Pm  0.750  0.750  0.750
Tl  0.000  0.000  0.000
Tl  0.000  0.500  0.500
Tl  0.500  0.000  0.500
Tl  0.500  0.500  0.000
Zn  0.000  0.000  0.500
Zn  0.000  0.500  0.000
Zn  0.500  0.000  0.000
Zn  0.500  0.500  0.500

Most intense lines, 10 to 80 degrees two-theta, by angle:
20.27 deg, I 11.4
33.41 deg, I 100.0
47.97 deg, I 18.2
59.71 deg, I 37.8
70.18 deg, I 11.6
79.99 deg, I 16.3

---

6.
For EuAs2Pt2, a GGA-PBE-relaxed structure gives the calculated X-ray diffraction stick pattern in this record (Cu Kα (weighted mean of Kα1 and Kα2)).

Cell: 4.505 4.505 9.996 Å, 90.00 90.00 90.00°
Fractional positions:
Eu  0.250  0.250  0.248
Eu  0.750  0.750  0.752
As  0.250  0.250  0.632
As  0.250  0.750  0.000
As  0.750  0.250  0.000
As  0.750  0.750  0.368
Pt  0.250  0.250  0.881
Pt  0.250  0.750  0.500
Pt  0.750  0.250  0.500
Pt  0.750  0.750  0.119

Most intense lines, 10 to 80 degrees two-theta, by angle:
29.43 deg, I 19.4
33.39 deg, I 100.0
40.03 deg, I 49.6
46.17 deg, I 20.3
53.12 deg, I 22.4
68.50 deg, I 19.9

---

What is the formula in the fifth record? Pm2TlZn